# PrPd5
Simulated powder diffraction line list, Cu Kα. Input: a cell relaxed with GGA-PBE.
Peak positions follow from Bragg's law for the DFT cell and can differ from measured ones.

Peak list (8 most intense, 10 to 90 degrees two-theta, by angle)
2θ (°)	Rel. int.
36.46	38.0
38.10	33.4
40.15	100.0
45.75	19.8
63.08	22.0
70.24	18.7
76.13	25.1
77.46	14.0

Atomic structure:
Unit cell a=5.1055 b=5.1055 c=9.4473 alpha=90.00 beta=90.00 gamma=120.00
Space group P6_322 (No. 182)
Symmetry-distinct sites (fractional):
Pr1 0.3333 0.6667 0.2500 x2
Pd1 0.0000 0.0000 0.2500 x2
Pd2 0.0000 0.3221 0.5000 x6
Pd3 0.3333 0.6667 0.7500 x2

# Pr6Pd23
Simulated powder diffraction line list, Cu Kα. Input: a cell relaxed with GGA-PBE.
Peak positions follow from Bragg's law for the DFT cell and can differ from measured ones.

Peak list (8 most intense, 10 to 90 degrees two-theta, by angle)
2θ (°)	Rel. int.
33.65	13.7
35.75	37.6
39.05	100.0
40.91	17.5
43.88	11.7
70.73	21.6
72.00	10.9
83.88	9.5

Atomic structure:
Unit cell a=13.050 b=13.050 c=13.050 alpha=90.00 beta=90.00 gamma=90.00
Space group Fm-3m (No. 225)
Symmetry-distinct sites (fractional):
Pr1 0.000 0.000 0.223 x24
Pd1 0.000 0.000 0.500 x4
Pd2 0.000 0.250 0.250 x24
Pd3 0.120 0.120 0.380 x32
Pd4 0.170 0.170 0.170 x32

# Pr5Pd3
Simulated powder diffraction line list, Cu Kα. Input: a cell relaxed with GGA-PBE.
Peak positions follow from Bragg's law for the DFT cell and can differ from measured ones.

Peak list (8 most intense, 10 to 90 degrees two-theta, by angle)
2θ (°)	Rel. int.
30.46	14.5
31.68	100.0
34.40	31.6
35.33	53.5
50.95	13.0
55.44	13.9
65.74	15.7
65.86	13.3

Atomic structure:
Unit cell a=8.033 b=8.033 c=13.709 alpha=90.00 beta=90.00 gamma=90.00
Space group I4/mcm (No. 140)
Symmetry-distinct sites (fractional):
Pr1 0.000 0.000 0.000 x4
Pr2 0.165 0.335 0.143 x16
Pd1 0.000 0.000 0.250 x4
Pd2 0.128 0.372 0.500 x8

# PrPd6
Simulated powder diffraction line list, Cu Kα. Input: a cell relaxed with GGA-PBE.
Peak positions follow from Bragg's law for the DFT cell and can differ from measured ones.

Peak list (8 most intense, 10 to 90 degrees two-theta, by angle)
2θ (°)	Rel. int.
33.33	36.6
35.12	82.6
35.82	100.0
36.49	75.4
39.25	36.2
40.19	52.9
41.84	54.0
43.40	58.4

Atomic structure:
Unit cell a=8.818 b=5.376 c=10.680 alpha=90.00 beta=90.00 gamma=90.00
Space group Pnma (No. 62)
Symmetry-distinct sites (fractional):
Pr1 0.246 0.250 0.059 x4
Pd1 0.060 0.750 0.075 x4
Pd2 0.061 0.006 0.301 x8
Pd3 0.107 0.250 0.520 x4
Pd4 0.162 0.750 0.839 x4
Pd5 0.185 0.250 0.770 x4

# PrPd2Pt4
Simulated powder diffraction line list, Cu Kα. Input: a cell relaxed with GGA-PBE.
Peak positions follow from Bragg's law for the DFT cell and can differ from measured ones.

Peak list (8 most intense, 10 to 90 degrees two-theta, by angle)
2θ (°)	Rel. int.
33.50	46.9
33.68	90.7
37.07	100.0
38.43	53.9
42.92	99.5
43.05	94.9
66.55	26.4
76.98	29.0

Atomic structure:
Unit cell a=8.688 b=6.855 c=5.349 alpha=90.00 beta=127.80 gamma=90.00
Space group C2/m (No. 12)
Symmetry-distinct sites (fractional):
Pr1 0.000 0.000 0.000 x2
Pd1 0.001 0.500 0.751 x4
Pt1 0.195 0.195 0.695 x8

# PrPdPt
Simulated powder diffraction line list, Cu Kα. Input: a cell relaxed with GGA-PBE.
Peak positions follow from Bragg's law for the DFT cell and can differ from measured ones.

Peak list (8 most intense, 10 to 90 degrees two-theta, by angle)
2θ (°)	Rel. int.
32.29	21.9
38.04	100.0
38.15	29.0
39.76	27.0
39.91	26.0
61.40	21.2
61.57	21.2
67.59	24.1

Atomic structure:
Unit cell a=5.525 b=5.557 c=7.845 alpha=90.00 beta=90.00 gamma=90.00
Space group Imma (No. 74)
Symmetry-distinct sites (fractional):
Pr1 0.000 0.250 0.126 x4
Pd1 0.250 0.250 0.750 x4
Pt1 0.000 0.000 0.500 x4

# Pr6Pd5Pt
Simulated powder diffraction line list, Cu Kα. Input: a cell relaxed with GGA-PBE.
Peak positions follow from Bragg's law for the DFT cell and can differ from measured ones.

Peak list (8 most intense, 10 to 90 degrees two-theta, by angle)
2θ (°)	Rel. int.
29.80	100.0
42.59	37.6
42.71	37.4
52.85	20.0
61.90	12.3
70.12	16.9
70.28	16.8
77.99	14.6

Atomic structure:
Unit cell a=7.351 b=12.739 c=7.331 alpha=90.00 beta=109.60 gamma=90.00
Space group C2/m (No. 12)
Symmetry-distinct sites (fractional):
Pr1 0.247 0.000 0.251 x4
Pr2 0.248 0.165 0.748 x8
Pd1 0.000 0.168 0.000 x4
Pd2 0.000 0.334 0.500 x4
Pd3 0.000 0.500 0.000 x2
Pt1 0.000 0.000 0.500 x2

# Pr7Pd2Pt2
Simulated powder diffraction line list, Cu Kα. Input: a cell relaxed with GGA-PBE.
Peak positions follow from Bragg's law for the DFT cell and can differ from measured ones.

Peak list (8 most intense, 10 to 90 degrees two-theta, by angle)
2θ (°)	Rel. int.
20.29	21.5
23.78	53.7
32.53	46.4
36.16	100.0
36.40	25.2
40.68	23.9
41.24	27.0
53.48	22.6

Atomic structure:
Unit cell a=8.756 b=11.011 c=7.212 alpha=90.00 beta=90.00 gamma=90.00
Space group Cmmm (No. 65)
Symmetry-distinct sites (fractional):
Pr1 0.000 0.000 0.000 x2
Pr2 0.000 0.500 0.253 x4
Pr3 0.250 0.250 0.261 x8
Pd1 0.229 0.000 0.500 x4
Pt1 0.000 0.278 0.000 x4